(1)
Diffraction record for NbNiPd. The X-ray powder pattern is simulated, not measured: it uses a crystal structure in Alexandria, relaxed with GGA-PBE and copper Kα.

Atomic structure:
```
data_NbNiPd
_cell_length_a 8.787
_cell_length_b 3.792
_cell_length_c 5.647
_cell_angle_alpha 90.00
_cell_angle_beta 110.26
_cell_angle_gamma 90.00
_space_group_name_H-M_alt 'C 1 2/m 1'
_space_group_IT_number 12
loop_
_space_group_symop_operation_xyz
'x,y,z'
'-x,-y,-z'
'-x,y,-z'
'x,-y,z'
'x+1/2,y+1/2,z'
'-x+1/2,-y+1/2,-z'
'-x+1/2,y+1/2,-z'
'x+1/2,-y+1/2,z'
loop_
_atom_site_label
_atom_site_fract_x
_atom_site_fract_y
_atom_site_fract_z
Nb1 0.006 0.000 0.262
Ni1 0.163 0.500 0.572
Pd1 0.174 0.500 0.101
```

Largest 10 diffraction maxima, by angle, 2θ from 15° to 90°:
2θ = 39.8°, I = 100, hkl 1 1 -2
2θ = 40.5°, I = 95, hkl 3 1 0
2θ = 45.4°, I = 35, hkl 4 0 -2
2θ = 46.7°, I = 30, hkl 2 0 2
2θ = 48.0°, I = 29, hkl 0 2 0
2θ = 68.2°, I = 29, hkl 4 2 -2
2θ = 69.2°, I = 18, hkl 2 2 2
2θ = 79.7°, I = 12, hkl 5 1 -4
2θ = 81.1°, I = 12, hkl 7 1 -2
2θ = 83.9°, I = 11, hkl 1 3 -2

***

(2)
Diffraction record for LiDyTlNi. The X-ray powder pattern is simulated, not measured: it uses a crystal structure in Alexandria, relaxed with GGA-PBE and copper Kα.

Atomic structure:
```
data_LiDyTlNi
_cell_length_a 6.665
_cell_length_b 6.665
_cell_length_c 6.665
_cell_angle_alpha 90.00
_cell_angle_beta 90.00
_cell_angle_gamma 90.00
_space_group_name_H-M_alt 'F -4 3 m'
_space_group_IT_number 216
_space_group_name_Hall 'F -4 2 3'
loop_
_atom_site_label
_atom_site_fract_x
_atom_site_fract_y
_atom_site_fract_z
Li1 0.000 0.000 0.000
Dy1 0.250 0.250 0.750
Tl1 0.250 0.250 0.250
Ni1 0.000 0.000 0.500
```

Largest 10 diffraction maxima, by angle, 2θ from 15° to 90°:
2θ = 23.1°, I = 7, hkl 1 1 1
2θ = 26.8°, I = 57, hkl 2 0 0
2θ = 38.2°, I = 100, hkl 2 2 0
2θ = 45.1°, I = 3, hkl 3 1 1
2θ = 47.2°, I = 17, hkl 2 2 2
2θ = 55.1°, I = 17, hkl 4 0 0
2θ = 62.3°, I = 23, hkl 4 2 0
2θ = 69.0°, I = 35, hkl 4 2 2
2θ = 81.7°, I = 11, hkl 4 4 0
2θ = 87.9°, I = 12, hkl 6 0 0

***

(3)
Diffraction record for Sm5Si2As2. The X-ray powder pattern is simulated, not measured: it uses a crystal structure in Alexandria, relaxed with GGA-PBE and copper Kα.

Atomic structure:
```
data_Sm5Si2As2
_cell_length_a 14.888
_cell_length_b 7.770
_cell_length_c 7.839
_cell_angle_alpha 90.00
_cell_angle_beta 90.00
_cell_angle_gamma 90.00
_space_group_name_H-M_alt 'C m c e'
_space_group_IT_number 64
_space_group_name_Hall '-C 2ac 2'
loop_
_atom_site_label
_atom_site_fract_x
_atom_site_fract_y
_atom_site_fract_z
Sm1 0.000 0.000 0.000
Sm2 0.137 0.174 0.331
Si1 0.000 0.117 0.617
As1 0.202 0.000 0.000
```

Largest 10 diffraction maxima, by angle, 2θ from 15° to 90°:
2θ = 25.6°, I = 74, hkl 0 2 1
2θ = 26.2°, I = 58, hkl 1 1 2
2θ = 31.3°, I = 100, hkl 3 1 2
2θ = 32.4°, I = 60, hkl 0 2 2
2θ = 33.2°, I = 63, hkl 4 0 2
2θ = 33.3°, I = 69, hkl 4 2 0
2θ = 34.2°, I = 47, hkl 5 1 1
2θ = 35.3°, I = 81, hkl 4 2 1
2θ = 36.8°, I = 59, hkl 1 1 3
2θ = 37.1°, I = 60, hkl 1 3 1